For NiP3O9, a DFT-relaxed cell (GGA+U, the Materials Project) gives the simulated X-ray powder pattern in this record (λ = 1.5418 Å (Cu Kα)).

Principal peaks in the range 2θ from 10° to 80°, in order of rising 2θ:
| 2θ/deg | I/Imax | h k l |
| --- | --- | --- |
| 13.1 | 71 | 0 1 0 |
| 17.7 | 100 | 1 -1 0 |
| 19.0 | 21 | 1 0 1 |
| 19.7 | 33 | 0 1 1 |
| 27.3 | 27 | 2 0 0 |
| 28.3 | 49 | 1 1 -2 |
| 28.9 | 44 | 2 0 -1 |
| 29.0 | 28 | 1 0 2 |
| 31.0 | 29 | 2 0 1 |
| 31.6 | 57 | 0 2 1 |
| 32.0 | 65 | 0 2 -2 |
| 36.9 | 18 | 0 0 3 |

Cell and atoms:
```
data_NiP3O9
_cell_length_a 6.595
_cell_length_b 6.937
_cell_length_c 7.509
_cell_angle_alpha 101.93
_cell_angle_beta 93.84
_cell_angle_gamma 96.01
_symmetry_space_group_name_H-M 'P 1'
_symmetry_Int_Tables_number 1
_symmetry_space_group_name_Hall 'P 1'
loop_
_atom_site_label
_atom_site_type_symbol
_atom_site_fract_x
_atom_site_fract_y
_atom_site_fract_z
Ni1 Ni 0.154 0.088 0.361
Ni2 Ni 0.846 0.912 0.639
P1 P 0.154 0.213 0.953
P2 P 0.333 0.899 0.707
P3 P 0.334 0.470 0.722
P4 P 0.666 0.530 0.278
P5 P 0.667 0.101 0.293
P6 P 0.846 0.787 0.047
O1 O 0.048 0.844 0.159
O2 O 0.153 0.258 0.158
O3 O 0.157 0.915 0.571
O4 O 0.206 0.343 0.558
O5 O 0.274 0.410 0.907
O6 O 0.282 0.691 0.769
O7 O 0.309 0.049 0.898
O8 O 0.441 0.543 0.306
O9 O 0.454 0.071 0.339
O10 O 0.546 0.929 0.661
O11 O 0.559 0.457 0.694
O12 O 0.691 0.951 0.102
O13 O 0.718 0.309 0.231
O14 O 0.726 0.590 0.093
O15 O 0.794 0.657 0.442
O16 O 0.843 0.085 0.429
O17 O 0.847 0.742 0.842
O18 O 0.952 0.156 0.841
```

For NiP3O9, a DFT-relaxed cell (GGA+U, the Materials Project) gives the simulated X-ray powder pattern in this record (λ = 1.5418 Å (Cu Kα)).

Principal peaks in the range 2θ from 10° to 80°, in order of rising 2θ:
| 2θ/deg | I/Imax | h k l |
| --- | --- | --- |
| 13.0 | 100 | 0 1 0 |
| 18.4 | 23 | 1 0 -1 |
| 19.2 | 50 | 1 1 1 |
| 19.9 | 17 | 0 1 -1 |
| 21.6 | 42 | -1 1 1 |
| 25.8 | 17 | 2 0 0 |
| 27.9 | 23 | 2 0 1 |
| 28.7 | 64 | 2 1 1 |
| 28.9 | 26 | 1 0 -2 |
| 29.4 | 21 | 2 0 -1 |
| 31.5 | 59 | 0 2 -1 |
| 32.1 | 39 | 0 2 2 |

Cell and atoms:
```
data_NiP3O9
_cell_length_a 6.965
_cell_length_b 7.009
_cell_length_c 7.352
_cell_angle_alpha 76.84
_cell_angle_beta 85.10
_cell_angle_gamma 84.47
_symmetry_space_group_name_H-M 'P 1'
_symmetry_Int_Tables_number 1
_symmetry_space_group_name_Hall 'P 1'
loop_
_atom_site_label
_atom_site_type_symbol
_atom_site_fract_x
_atom_site_fract_y
_atom_site_fract_z
Ni1 Ni 0.156 0.066 0.145
Ni2 Ni 0.844 0.934 0.855
P1 P 0.142 0.752 0.549
P2 P 0.289 0.361 0.767
P3 P 0.362 0.945 0.782
P4 P 0.638 0.055 0.218
P5 P 0.711 0.639 0.233
P6 P 0.858 0.248 0.451
O1 O 0.040 0.211 0.337
O2 O 0.146 0.809 0.340
O3 O 0.147 0.319 0.936
O4 O 0.201 0.913 0.936
O5 O 0.202 0.516 0.594
O6 O 0.322 0.840 0.617
O7 O 0.333 0.177 0.671
O8 O 0.433 0.104 0.176
O9 O 0.469 0.429 0.826
O10 O 0.531 0.571 0.174
O11 O 0.567 0.896 0.824
O12 O 0.667 0.823 0.329
O13 O 0.678 0.160 0.383
O14 O 0.798 0.484 0.406
O15 O 0.799 0.087 0.064
O16 O 0.853 0.681 0.064
O17 O 0.854 0.191 0.660
O18 O 0.960 0.789 0.663
```